(1)
Computed PXRD pattern of Pd4Pt5W for Cu Kα, 1.54184 Å, from a DFT-relaxed cell (PBE, Alexandria).
Intensities are scaled so that the largest is 100.

The 10 most intense peaks (2θ from 15° to 90°), by angle:
- 2θ = 22.35°, d = 3.977 Å, I 5
- 2θ = 32.06°, d = 2.792 Å, I 4
- 2θ = 39.43°, d = 2.285 Å, I 100
- 2θ = 45.62°, d = 1.989 Å, I 17
- 2θ = 45.97°, d = 1.974 Å, I 33
- 2θ = 66.77°, d = 1.401 Å, I 21
- 2θ = 67.05°, d = 1.396 Å, I 11
- 2θ = 80.14°, d = 1.198 Å, I 12
- 2θ = 80.66°, d = 1.191 Å, I 25
- 2θ = 84.87°, d = 1.143 Å, I 11

Crystal structure
Cell: 2.792 2.792 19.886 Å, 90.00 90.00 90.00°
Fractional coordinates of all 10 atoms:
Pd  0.000  0.000  0.099
Pd  0.000  0.000  0.299
Pd  0.000  0.000  0.701
Pd  0.000  0.000  0.901
Pt  0.500  0.500  0.000
Pt  0.500  0.500  0.199
Pt  0.500  0.500  0.404
Pt  0.500  0.500  0.596
Pt  0.500  0.500  0.801
W  0.000  0.000  0.500

(2)
Computed PXRD pattern of K3Pm2SnS6 for Cu Kα, 1.54184 Å, from a DFT-relaxed cell (PBE, Alexandria).
Intensities are scaled so that the largest is 100.

The 10 most intense peaks (2θ from 15° to 90°), by angle:
- 2θ = 24.14°, d = 3.687 Å, I 14
- 2θ = 25.19°, d = 3.535 Å, I 21
- 2θ = 26.15°, d = 3.407 Å, I 30
- 2θ = 29.72°, d = 3.006 Å, I 100
- 2θ = 37.97°, d = 2.370 Å, I 17
- 2θ = 41.25°, d = 2.189 Å, I 35
- 2θ = 43.78°, d = 2.068 Å, I 34
- 2θ = 45.56°, d = 1.991 Å, I 15
- 2θ = 53.81°, d = 1.704 Å, I 17
- 2θ = 71.80°, d = 1.315 Å, I 14

Crystal structure
Cell: 7.163 7.163 7.751 Å, 98.85 98.85 120.00°
Fractional coordinates of all 12 atoms:
K  0.000  0.000  0.000
K  0.334  0.666  0.000
K  0.666  0.334  0.000
Pm  0.167  0.833  0.500
Pm  0.833  0.167  0.500
Sn  0.500  0.500  0.500
S  0.104  0.432  0.295
S  0.241  0.241  0.704
S  0.432  0.104  0.295
S  0.568  0.896  0.705
S  0.759  0.759  0.296
S  0.896  0.568  0.705

(3)
Computed PXRD pattern of Dy3Zn2Os for Cu Kα, 1.54184 Å, from a DFT-relaxed cell (PBE, Alexandria).
Intensities are scaled so that the largest is 100.

The 10 most intense peaks (2θ from 15° to 90°), by angle:
- 2θ = 35.97°, d = 2.497 Å, I 100
- 2θ = 36.46°, d = 2.465 Å, I 49
- 2θ = 51.06°, d = 1.789 Å, I 9
- 2θ = 52.45°, d = 1.744 Å, I 9
- 2θ = 52.56°, d = 1.741 Å, I 9
- 2θ = 64.35°, d = 1.448 Å, I 17
- 2θ = 65.26°, d = 1.430 Å, I 18
- 2θ = 65.33°, d = 1.428 Å, I 17
- 2θ = 86.19°, d = 1.128 Å, I 7
- 2θ = 88.60°, d = 1.104 Å, I 6

Crystal structure
Cell: 4.932 7.155 7.786 Å, 90.00 108.35 90.00°
Fractional coordinates of all 12 atoms:
Dy  0.000  0.238  0.000
Dy  0.000  0.762  0.000
Dy  0.329  0.233  0.659
Dy  0.329  0.767  0.659
Dy  0.671  0.233  0.341
Dy  0.671  0.767  0.341
Zn  0.167  0.500  0.332
Zn  0.500  0.000  0.000
Zn  0.500  0.500  0.000
Zn  0.833  0.500  0.668
Os  0.164  0.000  0.327
Os  0.836  0.000  0.673